Starting from a crystal structure in Alexandria, relaxed with GGA+U, the powder diffractogram of Sr3CaMn2FeO10 was calculated for Cu Kα (weighted mean of Kα1 and Kα2).
Neutral-atom scattering factors, no anomalous dispersion.

Top 8 peaks for 2θ = 10–80°, in order of rising 2θ:
2θ (°)	intensity	h k l
32.3	100.0	1 0 7
32.7	61.0	1 1 0
42.0	17.9	1 1 8
45.6	19.2	0 0 14
47.0	42.9	2 0 0
57.2	17.7	1 1 14
58.1	36.9	2 1 7
67.5	20.7	2 0 14

Crystal structure
```
data_Sr3CaMn2FeO10
_chemical_formula_sum 'Sr6 Ca2 Mn4 Fe2 O20'
_symmetry_space_group_name_H-M 'I 4 m m'
_symmetry_Int_Tables_number 107
_symmetry_space_group_name_Hall 'I 4 -2'
_cell_length_a 3.8703
_cell_length_b 3.8703
_cell_length_c 27.8628
_cell_angle_alpha 90.00
_cell_angle_beta 90.00
_cell_angle_gamma 90.00
loop_
_atom_site_label
_atom_site_fract_x
_atom_site_fract_y
_atom_site_fract_z
Sr1 0.0000 0.0000 0.0000
Sr2 0.0000 0.0000 0.1334
Sr3 0.0000 0.0000 0.8592
Ca1 0.0000 0.0000 0.7285
Mn1 0.0000 0.0000 0.2870
Mn2 0.0000 0.0000 0.5720
Fe1 0.0000 0.0000 0.4295
O1 0.0000 0.0000 0.2192
O2 0.0000 0.0000 0.3572
O3 0.0000 0.0000 0.5012
O4 0.0000 0.0000 0.6420
O5 0.0000 0.5000 0.0697
O6 0.0000 0.5000 0.2867
O7 0.0000 0.5000 0.4291
```